Computed powder XRD pattern
Compound: Ho4NiB13
Radiation: copper Kα
Structure: a structure optimized by DFT (PBE)
Lines closer than 0.1° are merged.

Unit cell a=7.3034 b=7.3034 c=6.8735 alpha=90.00 beta=90.00 gamma=90.00
Atoms (fractional coordinates):
1 Ho 0.1803 0.3155 0.0000
2 Ho 0.1845 0.3197 0.5000
3 Ho 0.3155 0.8197 0.0000
4 Ho 0.3197 0.8155 0.5000
5 Ho 0.6803 0.1845 0.5000
6 Ho 0.6845 0.1803 0.0000
7 Ho 0.8155 0.6803 0.5000
8 Ho 0.8197 0.6845 0.0000
9 Ni 0.0000 0.0000 0.5000
10 Ni 0.5000 0.5000 0.0000
11 B 0.0000 0.0000 0.0000
12 B 0.0400 0.8296 0.2430
13 B 0.0400 0.8296 0.7570
14 B 0.0925 0.5925 0.2500
15 B 0.0925 0.5925 0.7500
16 B 0.1704 0.0400 0.2430
17 B 0.1704 0.0400 0.7570
18 B 0.3296 0.5400 0.2570
19 B 0.3296 0.5400 0.7430
20 B 0.4075 0.0925 0.2500
21 B 0.4075 0.0925 0.7500
22 B 0.4600 0.3296 0.2570
23 B 0.4600 0.3296 0.7430
24 B 0.5000 0.5000 0.5000
25 B 0.5400 0.6704 0.2570
26 B 0.5400 0.6704 0.7430
27 B 0.5925 0.9075 0.2500
28 B 0.5925 0.9075 0.7500
29 B 0.6704 0.4600 0.2570
30 B 0.6704 0.4600 0.7430
31 B 0.8296 0.9600 0.2430
32 B 0.8296 0.9600 0.7570
33 B 0.9075 0.4075 0.2500
34 B 0.9075 0.4075 0.7500
35 B 0.9600 0.1704 0.2430
36 B 0.9600 0.1704 0.7570

The 6 most intense peaks (2θ from 10° to 80°), in order of rising 2θ:
2theta, I (rel.)
24.38, 38
25.93, 59
27.30, 96
35.88, 39
38.01, 100
58.63, 40